KH4O2: calculated powder X-ray diffraction pattern (Cu Ka), based on DFT lattice parameters and positions (GGA-PBE).
Peak positions follow from Bragg's law for the DFT cell and can differ from measured ones.

Structural model:
```
data_KH4O2
_cell_length_a 7.514
_cell_length_b 7.514
_cell_length_c 2.793
_cell_angle_alpha 90.00
_cell_angle_beta 90.00
_cell_angle_gamma 90.00
_symmetry_space_group_name_H-M 'P 42/m n m'
_symmetry_Int_Tables_number 136
_symmetry_space_group_name_Hall '-P 4n 2n'
loop_
_atom_site_label
_atom_site_fract_x
_atom_site_fract_y
_atom_site_fract_z
K1 0.000 0.000 0.000
H1 0.200 0.292 0.000
O1 0.240 0.240 0.500
```

Main lines, sorted by position (2θ from 15° to 90°):
(hkl), d_spacing, intensity
1 1 0, 5.313, 100
2 2 0, 2.657, 59
1 0 1, 2.618, 28
1 1 1, 2.473, 12
3 1 0, 2.376, 24
2 1 1, 2.148, 36
4 0 0, 1.879, 16
3 0 1, 1.865, 13
3 1 1, 1.810, 8
3 2 1, 1.670, 10
4 1 1, 1.526, 9
4 3 1, 1.323, 9